This entry pairs a crystal structure of BaSrYWO6 with its simulated powder diffractogram. Radiation: CuKα. Structure: DFT lattice parameters and positions (PBE+U).
Neutral-atom scattering factors, no anomalous dispersion.

Crystal structure
Cell lengths 5.965, 5.991, 8.415 Å; angles 89.42, 89.89, 89.66 degrees
Element x y z (fractional)
Ba (0.020, 0.495, 0.249)
Ba (0.980, 0.505, 0.751)
Sr (0.478, 0.997, 0.748)
Sr (0.522, 0.003, 0.252)
Y (0.000, 0.000, 0.000)
Y (0.500, 0.500, 0.500)
W (0.000, 0.000, 0.500)
W (0.500, 0.500, 0.000)
O (0.008, 0.055, 0.735)
O (0.210, 0.741, 0.525)
O (0.238, 0.714, 0.967)
O (0.272, 0.205, 0.468)
O (0.297, 0.233, 0.029)
O (0.500, 0.436, 0.766)
O (0.500, 0.564, 0.234)
O (0.703, 0.767, 0.971)
O (0.728, 0.795, 0.532)
O (0.762, 0.286, 0.033)
O (0.790, 0.259, 0.475)
O (0.992, 0.945, 0.265)

Most intense lines, 10° ≤ 2θ ≤ 80°, sorted by position:
d (Å), I (rel.)
4.863, 21
2.997, 100
2.984, 99
2.971, 99
2.120, 29
2.105, 56
1.729, 32
1.721, 41
1.718, 32
1.335, 17


This entry pairs a crystal structure of BaSrZnWO6 with its simulated powder diffractogram. Radiation: CuKα. Structure: DFT lattice parameters and positions (PBE+U).
Neutral-atom scattering factors, no anomalous dispersion.

Crystal structure
Cell lengths 5.773, 5.773, 5.773 Å; angles 60.00, 60.00, 60.00 degrees
Element x y z (fractional)
Ba (0.000, 0.000, 0.000)
Sr (0.500, 0.500, 0.500)
Zn (0.250, 0.250, 0.250)
W (0.750, 0.750, 0.750)
O (0.510, 0.510, 0.990)
O (0.510, 0.990, 0.510)
O (0.510, 0.990, 0.990)
O (0.990, 0.510, 0.510)
O (0.990, 0.510, 0.990)
O (0.990, 0.990, 0.510)

Most intense lines, 10° ≤ 2θ ≤ 80°, sorted by position:
d (Å), I (rel.)
4.714, 18
2.886, 100
2.462, 9
2.041, 31
1.873, 4
1.667, 40
1.571, 4
1.443, 19
1.380, 4
1.291, 18


This entry pairs a crystal structure of Ba2TbWO6 with its simulated powder diffractogram. Radiation: CuKα. Structure: DFT lattice parameters and positions (PBE+U).
Neutral-atom scattering factors, no anomalous dispersion.

Crystal structure
Cell lengths 6.041, 6.041, 6.041 Å; angles 60.00, 60.00, 60.00 degrees
Element x y z (fractional)
Ba (0.250, 0.250, 0.250)
Ba (0.750, 0.750, 0.750)
Tb (0.000, 0.000, 0.000)
W (0.500, 0.500, 0.500)
O (0.265, 0.265, 0.735)
O (0.265, 0.735, 0.265)
O (0.265, 0.735, 0.735)
O (0.735, 0.265, 0.265)
O (0.735, 0.265, 0.735)
O (0.735, 0.735, 0.265)

Most intense lines, 10° ≤ 2θ ≤ 80°, sorted by position:
d (Å), I (rel.)
4.932, 1
4.271, 5
3.020, 100
2.136, 28
1.910, 2
1.744, 41
1.510, 18
1.424, 1
1.351, 18
1.233, 6


This entry pairs a crystal structure of Ba2TbWO6 with its simulated powder diffractogram. Radiation: CuKα. Structure: DFT lattice parameters and positions (PBE+U).
Neutral-atom scattering factors, no anomalous dispersion.

Crystal structure
Cell lengths 6.028, 6.028, 6.085 Å; angles 120.29, 120.29, 60.60 degrees
Element x y z (fractional)
Ba (0.249, 0.249, 0.253)
Ba (0.751, 0.751, 0.747)
Tb (0.500, 0.500, 0.000)
W (0.000, 0.000, 0.500)
O (0.221, 0.745, 0.721)
O (0.231, 0.231, 0.761)
O (0.255, 0.779, 0.279)
O (0.745, 0.221, 0.721)
O (0.769, 0.769, 0.239)
O (0.779, 0.255, 0.279)

Most intense lines, 10° ≤ 2θ ≤ 80°, sorted by position:
d (Å), I (rel.)
3.042, 51
3.014, 100
2.151, 29
2.112, 13
1.751, 42
1.735, 20
1.521, 9
1.507, 17
1.360, 9
1.358, 9


What did the fourth record say?
This entry pairs a crystal structure of Ba2TbWO6 with its simulated powder diffractogram. Radiation: CuKα. Structure: DFT lattice parameters and positions (PBE+U).
Neutral-atom scattering factors, no anomalous dispersion.

Crystal structure
Cell lengths 6.028, 6.028, 6.085 Å; angles 120.29, 120.29, 60.60 degrees
Element x y z (fractional)
Ba (0.249, 0.249, 0.253)
Ba (0.751, 0.751, 0.747)
Tb (0.500, 0.500, 0.000)
W (0.000, 0.000, 0.500)
O (0.221, 0.745, 0.721)
O (0.231, 0.231, 0.761)
O (0.255, 0.779, 0.279)
O (0.745, 0.221, 0.721)
O (0.769, 0.769, 0.239)
O (0.779, 0.255, 0.279)

Most intense lines, 10° ≤ 2θ ≤ 80°, sorted by position:
d (Å), I (rel.)
3.042, 51
3.014, 100
2.151, 29
2.112, 13
1.751, 42
1.735, 20
1.521, 9
1.507, 17
1.360, 9
1.358, 9


Please write out number 3 again, unchanged.
This entry pairs a crystal structure of Ba2TbWO6 with its simulated powder diffractogram. Radiation: CuKα. Structure: DFT lattice parameters and positions (PBE+U).
Neutral-atom scattering factors, no anomalous dispersion.

Crystal structure
Cell lengths 6.041, 6.041, 6.041 Å; angles 60.00, 60.00, 60.00 degrees
Element x y z (fractional)
Ba (0.250, 0.250, 0.250)
Ba (0.750, 0.750, 0.750)
Tb (0.000, 0.000, 0.000)
W (0.500, 0.500, 0.500)
O (0.265, 0.265, 0.735)
O (0.265, 0.735, 0.265)
O (0.265, 0.735, 0.735)
O (0.735, 0.265, 0.265)
O (0.735, 0.265, 0.735)
O (0.735, 0.735, 0.265)

Most intense lines, 10° ≤ 2θ ≤ 80°, sorted by position:
d (Å), I (rel.)
4.932, 1
4.271, 5
3.020, 100
2.136, 28
1.910, 2
1.744, 41
1.510, 18
1.424, 1
1.351, 18
1.233, 6